Structure and simulated X-ray diffraction stick pattern of HgGeSO (a crystal structure in OQMD, relaxed with PBE; Cu Kα X-rays).
Neutral-atom scattering factors, no anomalous dispersion.

Main lines, by angle (10° ≤ 2θ ≤ 90°):
| two_theta | I_rel |
| --- | --- |
| 20.7 | 51 |
| 25.8 | 39 |
| 26.8 | 100 |
| 29.5 | 91 |
| 30.7 | 63 |
| 33.0 | 56 |
| 43.0 | 39 |
| 43.1 | 35 |
| 53.0 | 50 |
| 55.2 | 38 |

Structural model:
```
data_HgGeSO
_chemical_formula_sum 'Hg8 Ge8 S8 O8'
_space_group_name_H-M_alt 'P 1'
_space_group_IT_number 1
_cell_length_a 6.056
_cell_length_b 8.423
_cell_length_c 12.128
_cell_angle_alpha 90.00
_cell_angle_beta 90.00
_cell_angle_gamma 90.00
loop_
_space_group_symop_operation_xyz
'x,y,z'
loop_
_atom_site_label
_atom_site_fract_x
_atom_site_fract_y
_atom_site_fract_z
_atom_site_occupancy
Hg1 0.245 0.098 0.059 1
Hg2 0.245 0.402 0.559 1
Hg3 0.255 0.598 0.059 1
Hg4 0.255 0.902 0.559 1
Hg5 0.745 0.098 0.441 1
Hg6 0.745 0.402 0.941 1
Hg7 0.755 0.598 0.441 1
Hg8 0.755 0.902 0.941 1
Ge1 0.240 0.223 0.250 1
Ge2 0.240 0.277 0.750 1
Ge3 0.260 0.723 0.250 1
Ge4 0.260 0.777 0.750 1
Ge5 0.740 0.223 0.250 1
Ge6 0.740 0.277 0.750 1
Ge7 0.760 0.723 0.250 1
Ge8 0.760 0.777 0.750 1
S1 0.239 0.142 0.433 1
S2 0.239 0.358 0.933 1
S3 0.261 0.642 0.433 1
S4 0.261 0.858 0.933 1
S5 0.739 0.142 0.067 1
S6 0.739 0.358 0.567 1
S7 0.761 0.642 0.067 1
S8 0.761 0.858 0.567 1
O1 0.009 0.652 0.750 1
O2 0.009 0.848 0.250 1
O3 0.491 0.152 0.750 1
O4 0.491 0.348 0.250 1
O5 0.509 0.652 0.750 1
O6 0.509 0.848 0.250 1
O7 0.991 0.152 0.750 1
O8 0.991 0.348 0.250 1
```

***

Structure and simulated X-ray diffraction stick pattern of AlW3 (a crystal structure in OQMD, relaxed with PBE; Cu Kα X-rays).
Neutral-atom scattering factors, no anomalous dispersion.

Main lines, by angle (10° ≤ 2θ ≤ 90°):
| two_theta | I_rel |
| --- | --- |
| 20.6 | 8 |
| 25.4 | 21 |
| 39.2 | 100 |
| 42.0 | 19 |
| 47.3 | 27 |
| 65.1 | 22 |
| 69.1 | 9 |
| 74.9 | 15 |
| 82.5 | 24 |
| 84.3 | 11 |

Structural model:
```
data_AlW3
_chemical_formula_sum 'Al1 W3'
_space_group_name_H-M_alt 'P 1'
_space_group_IT_number 1
_cell_length_a 5.088
_cell_length_b 5.088
_cell_length_c 5.088
_cell_angle_alpha 135.62
_cell_angle_beta 135.62
_cell_angle_gamma 64.56
loop_
_space_group_symop_operation_xyz
'x,y,z'
loop_
_atom_site_label
_atom_site_fract_x
_atom_site_fract_y
_atom_site_fract_z
_atom_site_occupancy
Al1 0.000 0.000 0.000 1
W1 0.250 0.750 0.500 1
W2 0.500 0.500 0.000 1
W3 0.750 0.250 0.500 1
```

***

Structure and simulated X-ray diffraction stick pattern of Dy2ErIn3Pt2Au (a crystal structure in OQMD, relaxed with PBE; Cu Kα X-rays).
Neutral-atom scattering factors, no anomalous dispersion.

Main lines, by angle (10° ≤ 2θ ≤ 90°):
| two_theta | I_rel |
| --- | --- |
| 22.9 | 14 |
| 33.0 | 80 |
| 35.2 | 31 |
| 35.6 | 100 |
| 40.2 | 57 |
| 42.8 | 36 |
| 48.0 | 23 |
| 64.3 | 29 |
| 65.2 | 37 |
| 74.8 | 15 |

Structural model:
```
data_Dy2ErIn3Pt2Au
_chemical_formula_sum 'Dy2 Er1 In3 Pt2 Au1'
_space_group_name_H-M_alt 'P 1'
_space_group_IT_number 1
_cell_length_a 3.793
_cell_length_b 7.776
_cell_length_c 7.776
_cell_angle_alpha 119.92
_cell_angle_beta 90.00
_cell_angle_gamma 90.00
loop_
_space_group_symop_operation_xyz
'x,y,z'
loop_
_atom_site_label
_atom_site_fract_x
_atom_site_fract_y
_atom_site_fract_z
_atom_site_occupancy
Dy1 0.000 0.204 0.796 1
Dy2 0.000 0.796 0.204 1
Er1 0.000 0.388 0.388 1
In1 0.500 0.066 0.066 1
In2 0.500 0.527 0.796 1
In3 0.500 0.796 0.527 1
Pt1 0.500 0.131 0.462 1
Pt2 0.500 0.462 0.131 1
Au1 0.000 0.796 0.796 1
```

***

Structure and simulated X-ray diffraction stick pattern of Y3Zr3Te2Os (a crystal structure in OQMD, relaxed with PBE; Cu Kα X-rays).
Neutral-atom scattering factors, no anomalous dispersion.

Main lines, by angle (10° ≤ 2θ ≤ 90°):
| two_theta | I_rel |
| --- | --- |
| 12.6 | 16 |
| 21.9 | 26 |
| 32.4 | 59 |
| 33.7 | 34 |
| 34.9 | 100 |
| 38.4 | 54 |
| 41.5 | 60 |
| 48.2 | 21 |
| 62.6 | 39 |
| 63.3 | 25 |

Structural model:
```
data_Y3Zr3Te2Os
_chemical_formula_sum 'Y3 Zr3 Te2 Os1'
_space_group_name_H-M_alt 'P 1'
_space_group_IT_number 1
_cell_length_a 8.126
_cell_length_b 8.126
_cell_length_c 3.773
_cell_angle_alpha 90.00
_cell_angle_beta 90.00
_cell_angle_gamma 120.00
loop_
_space_group_symop_operation_xyz
'x,y,z'
loop_
_atom_site_label
_atom_site_fract_x
_atom_site_fract_y
_atom_site_fract_z
_atom_site_occupancy
Y1 0.000 0.751 0.000 1
Y2 0.249 0.249 0.000 1
Y3 0.751 0.000 0.000 1
Zr1 0.000 0.402 0.500 1
Zr2 0.402 0.000 0.500 1
Zr3 0.598 0.598 0.500 1
Te1 0.333 0.667 0.000 1
Te2 0.667 0.333 0.000 1
Os1 0.000 0.000 0.500 1
```

***

Structure and simulated X-ray diffraction stick pattern of Pr2Dy2CBr4Cl (a crystal structure in OQMD, relaxed with PBE; Cu Kα X-rays).
Neutral-atom scattering factors, no anomalous dispersion.

Main lines, by angle (10° ≤ 2θ ≤ 90°):
| two_theta | I_rel |
| --- | --- |
| 10.1 | 21 |
| 11.3 | 47 |
| 28.8 | 20 |
| 30.5 | 55 |
| 31.5 | 25 |
| 32.3 | 100 |
| 34.7 | 28 |
| 44.9 | 43 |
| 45.1 | 33 |
| 47.7 | 19 |

Structural model:
```
data_Pr2Dy2CBr4Cl
_chemical_formula_sum 'Pr2 Dy2 C1 Br4 Cl1'
_space_group_name_H-M_alt 'P 1'
_space_group_IT_number 1
_cell_length_a 9.233
_cell_length_b 9.233
_cell_length_c 8.080
_cell_angle_alpha 103.08
_cell_angle_beta 103.08
_cell_angle_gamma 23.84
loop_
_space_group_symop_operation_xyz
'x,y,z'
loop_
_atom_site_label
_atom_site_fract_x
_atom_site_fract_y
_atom_site_fract_z
_atom_site_occupancy
Pr1 0.145 0.145 0.077 1
Pr2 0.855 0.855 0.923 1
Dy1 0.500 0.500 0.207 1
Dy2 0.500 0.500 0.793 1
C1 0.000 0.000 0.000 1
Br1 0.335 0.335 0.197 1
Br2 0.341 0.341 0.637 1
Br3 0.659 0.659 0.363 1
Br4 0.665 0.665 0.803 1
Cl1 0.000 0.000 0.500 1
```

***

Structure and simulated X-ray diffraction stick pattern of Nd2InGa5 (a crystal structure in OQMD, relaxed with PBE; Cu Kα X-rays).
Neutral-atom scattering factors, no anomalous dispersion.

Main lines, by angle (10° ≤ 2θ ≤ 90°):
| two_theta | I_rel |
| --- | --- |
| 24.8 | 25 |
| 31.5 | 22 |
| 31.7 | 15 |
| 37.1 | 100 |
| 37.3 | 43 |
| 38.8 | 31 |
| 50.8 | 11 |
| 56.3 | 15 |
| 69.1 | 25 |
| 70.5 | 15 |

Structural model:
```
data_Nd2InGa5
_chemical_formula_sum 'Nd2 In1 Ga5'
_space_group_name_H-M_alt 'P 1'
_space_group_IT_number 1
_cell_length_a 4.642
_cell_length_b 6.538
_cell_length_c 6.538
_cell_angle_alpha 60.44
_cell_angle_beta 90.00
_cell_angle_gamma 90.00
loop_
_space_group_symop_operation_xyz
'x,y,z'
loop_
_atom_site_label
_atom_site_fract_x
_atom_site_fract_y
_atom_site_fract_z
_atom_site_occupancy
Nd1 0.000 0.000 0.000 1
Nd2 0.500 0.324 0.324 1
In1 0.000 0.514 0.514 1
Ga1 0.000 0.526 0.957 1
Ga2 0.000 0.957 0.526 1
Ga3 0.500 0.375 0.815 1
Ga4 0.500 0.806 0.806 1
Ga5 0.500 0.815 0.375 1
```